1.
Theoretical powder XRD pattern of NbBi3Rh for Cu Kα (λ = 1.5418 Å), from the PBE geometry in Alexandria.
Intensities are scaled so that the largest is 100.

Principal peaks in the range 15° ≤ 2θ ≤ 90°, low angle first:
| 2θ/deg | Rel. int. |
| --- | --- |
| 16.35 | 26.8 |
| 28.52 | 100.0 |
| 33.05 | 87.9 |
| 47.44 | 65.0 |
| 56.29 | 47.1 |
| 79.00 | 30.1 |

Structural model:
```
data_NbBi3Rh
_chemical_formula_sum 'Nb1 Bi3 Rh1'
_cell_length_a 5.4203
_cell_length_b 5.4203
_cell_length_c 5.4203
_cell_angle_alpha 90.00
_cell_angle_beta 90.00
_cell_angle_gamma 90.00
_space_group_name_H-M_alt 'P m -3 m'
_space_group_IT_number 221
_space_group_name_Hall '-P 4 2 3'
loop_
_atom_site_label
_atom_site_fract_x
_atom_site_fract_y
_atom_site_fract_z
_atom_site_occupancy
Nb1 0.0000 0.0000 0.0000 1
Bi1 0.0000 0.0000 0.5000 1
Rh1 0.5000 0.5000 0.5000 1
```

2.
Theoretical powder XRD pattern of Tl3H2I3 for Cu Kα (λ = 1.5418 Å), from the PBE geometry in Alexandria.
Intensities are scaled so that the largest is 100.

Principal peaks in the range 15° ≤ 2θ ≤ 90°, low angle first:
| 2θ/deg | Rel. int. |
| --- | --- |
| 23.53 | 66.6 |
| 26.51 | 100.0 |
| 28.72 | 68.5 |
| 30.59 | 45.1 |
| 39.42 | 37.2 |
| 39.55 | 29.1 |

Structural model:
```
data_Tl3H2I3
_chemical_formula_sum 'Tl3 H2 I3'
_cell_length_a 4.0070
_cell_length_b 6.7257
_cell_length_c 9.9258
_cell_angle_alpha 109.56
_cell_angle_beta 93.94
_cell_angle_gamma 90.88
_space_group_name_H-M_alt 'P -1'
_space_group_IT_number 2
_space_group_name_Hall '-P 1'
loop_
_atom_site_label
_atom_site_fract_x
_atom_site_fract_y
_atom_site_fract_z
_atom_site_occupancy
Tl1 0.0000 0.0000 0.0000 1
Tl2 0.3943 0.6707 0.3360 1
H1 0.1050 0.3254 0.6544 1
I1 0.0000 0.5000 0.0000 1
I2 0.4663 0.8453 0.6924 1
```

3.
Theoretical powder XRD pattern of Os2AuCl2 for Cu Kα (λ = 1.5418 Å), from the PBE geometry in Alexandria.
Intensities are scaled so that the largest is 100.

Principal peaks in the range 15° ≤ 2θ ≤ 90°, low angle first:
| 2θ/deg | Rel. int. |
| --- | --- |
| 33.79 | 23.6 |
| 34.50 | 21.1 |
| 35.31 | 100.0 |
| 43.94 | 35.3 |
| 62.34 | 21.9 |
| 75.16 | 23.1 |

Structural model:
```
data_Os2AuCl2
_chemical_formula_sum 'Os4 Au2 Cl4'
_cell_length_a 4.1213
_cell_length_b 4.1213
_cell_length_c 10.3982
_cell_angle_alpha 90.00
_cell_angle_beta 90.00
_cell_angle_gamma 90.00
_space_group_name_H-M_alt 'I 4/m m m'
_space_group_IT_number 139
_space_group_name_Hall '-I 4 2'
loop_
_atom_site_label
_atom_site_fract_x
_atom_site_fract_y
_atom_site_fract_z
_atom_site_occupancy
Os1 0.0000 0.5000 0.2500 1
Au1 0.0000 0.0000 0.0000 1
Cl1 0.0000 0.0000 0.3654 1
```

4.
Theoretical powder XRD pattern of MgP2H12O11 for Cu Kα (λ = 1.5418 Å), from the PBE geometry in Alexandria.
Intensities are scaled so that the largest is 100.

Principal peaks in the range 15° ≤ 2θ ≤ 90°, low angle first:
| 2θ/deg | Rel. int. |
| --- | --- |
| 19.17 | 43.9 |
| 19.88 | 78.6 |
| 23.38 | 100.0 |
| 23.58 | 70.4 |
| 24.18 | 49.2 |
| 32.36 | 62.5 |

Structural model:
```
data_MgP2H12O11
_chemical_formula_sum 'Mg2 P4 H24 O22'
_cell_length_a 7.7872
_cell_length_b 7.8111
_cell_length_c 9.2433
_cell_angle_alpha 85.33
_cell_angle_beta 68.32
_cell_angle_gamma 72.59
_space_group_name_H-M_alt 'P -1'
_space_group_IT_number 2
_space_group_name_Hall '-P 1'
loop_
_atom_site_label
_atom_site_fract_x
_atom_site_fract_y
_atom_site_fract_z
_atom_site_occupancy
Mg1 0.2269 0.1442 0.2883 1
P1 0.0991 0.0880 0.6810 1
P2 0.4374 0.2342 0.9168 1
H1 0.0114 0.6659 0.1762 1
H2 0.0386 0.6930 0.9462 1
H3 0.0502 0.5318 0.6215 1
H4 0.1216 0.7228 0.9488 1
H5 0.1764 0.6674 0.5760 1
H6 0.2580 0.8282 0.1329 1
H7 0.2764 0.5048 0.8667 1
H8 0.3292 0.0211 0.7885 1
H9 0.3621 0.8317 0.4919 1
H10 0.4214 0.3873 0.2298 1
H11 0.4424 0.3106 0.3874 1
H12 0.4930 0.6478 0.4018 1
O1 0.0420 0.6595 0.6192 1
O2 0.0529 0.3009 0.7128 1
O3 0.0907 0.9597 0.2619 1
O4 0.2124 0.9872 0.7875 1
O5 0.2194 0.0523 0.5095 1
O6 0.2682 0.2562 0.0681 1
O7 0.3623 0.3248 0.3215 1
O8 0.3808 0.7446 0.0555 1
O9 0.3817 0.4018 0.8088 1
O10 0.4136 0.7010 0.5071 1
O11 0.4981 0.9320 0.1883 1
```

5.
Theoretical powder XRD pattern of ScCu2Pd2 for Cu Kα (λ = 1.5418 Å), from the PBE geometry in Alexandria.
Intensities are scaled so that the largest is 100.

Principal peaks in the range 15° ≤ 2θ ≤ 90°, low angle first:
| 2θ/deg | Rel. int. |
| --- | --- |
| 39.57 | 100.0 |
| 40.10 | 92.6 |
| 45.67 | 32.8 |
| 46.03 | 30.5 |
| 47.30 | 28.4 |
| 66.84 | 19.7 |

Structural model:
```
data_ScCu2Pd2
_chemical_formula_sum 'Sc2 Cu4 Pd4'
_cell_length_a 8.5753
_cell_length_b 3.9734
_cell_length_c 6.1301
_cell_angle_alpha 90.00
_cell_angle_beta 133.85
_cell_angle_gamma 90.00
_space_group_name_H-M_alt 'C 1 2/m 1'
_space_group_IT_number 12
_space_group_name_Hall '-C 2y'
loop_
_atom_site_label
_atom_site_fract_x
_atom_site_fract_y
_atom_site_fract_z
_atom_site_occupancy
Sc1 0.0000 0.0000 0.0000 1
Cu1 0.1888 0.0000 0.5969 1
Pd1 0.0847 0.5000 0.7892 1
```

6.
Theoretical powder XRD pattern of KRbScI6 for Cu Kα (λ = 1.5418 Å), from the PBE geometry in Alexandria.
Intensities are scaled so that the largest is 100.

Principal peaks in the range 15° ≤ 2θ ≤ 90°, low angle first:
| 2θ/deg | Rel. int. |
| --- | --- |
| 24.18 | 100.0 |
| 33.29 | 32.2 |
| 33.97 | 46.7 |
| 35.58 | 22.3 |
| 44.88 | 18.3 |
| 54.52 | 16.3 |

Structural model:
```
data_KRbScI6
_chemical_formula_sum 'K1 Rb1 Sc1 I6'
_cell_length_a 8.7406
_cell_length_b 8.7406
_cell_length_c 6.8314
_cell_angle_alpha 90.00
_cell_angle_beta 90.00
_cell_angle_gamma 120.00
_space_group_name_H-M_alt 'P 3 1 2'
_space_group_IT_number 149
_space_group_name_Hall 'P 3 2'
loop_
_atom_site_label
_atom_site_fract_x
_atom_site_fract_y
_atom_site_fract_z
_atom_site_occupancy
K1 0.0000 0.0000 0.0000 1
Rb1 0.6667 0.3333 0.5000 1
Sc1 0.3333 0.6667 0.0000 1
I1 0.0642 0.3909 0.2409 1
```

7.
Theoretical powder XRD pattern of Nd8Er3Mg for Cu Kα (λ = 1.5418 Å), from the PBE geometry in Alexandria.
Intensities are scaled so that the largest is 100.

Principal peaks in the range 15° ≤ 2θ ≤ 90°, low angle first:
| 2θ/deg | Rel. int. |
| --- | --- |
| 24.15 | 78.9 |
| 25.64 | 86.7 |
| 29.06 | 79.6 |
| 30.91 | 76.4 |
| 36.18 | 100.0 |
| 42.94 | 52.8 |

Structural model:
```
data_Nd8Er3Mg
_chemical_formula_sum 'Nd16 Er6 Mg2'
_cell_length_a 8.6917
_cell_length_b 8.6917
_cell_length_c 11.5712
_cell_angle_alpha 90.00
_cell_angle_beta 90.00
_cell_angle_gamma 90.00
_space_group_name_H-M_alt 'I -4 2 m'
_space_group_IT_number 121
_space_group_name_Hall 'I -4 2'
loop_
_atom_site_label
_atom_site_fract_x
_atom_site_fract_y
_atom_site_fract_z
_atom_site_occupancy
Nd1 0.1275 0.1275 0.2523 1
Nd2 0.2478 0.2478 0.5119 1
Er1 0.0000 0.0000 0.5000 1
Er2 0.0000 0.5000 0.2500 1
Mg1 0.0000 0.0000 0.0000 1
```

8.
Theoretical powder XRD pattern of Tb2Ga4IrAu3 for Cu Kα (λ = 1.5418 Å), from the PBE geometry in Alexandria.
Intensities are scaled so that the largest is 100.

Principal peaks in the range 15° ≤ 2θ ≤ 90°, low angle first:
| 2θ/deg | Rel. int. |
| --- | --- |
| 32.21 | 40.8 |
| 34.36 | 100.0 |
| 43.34 | 56.0 |
| 44.66 | 27.6 |
| 46.07 | 32.3 |
| 65.10 | 23.0 |

Structural model:
```
data_Tb2Ga4IrAu3
_chemical_formula_sum 'Tb2 Ga4 Ir1 Au3'
_cell_length_a 4.1752
_cell_length_b 4.1752
_cell_length_c 11.1717
_cell_angle_alpha 90.00
_cell_angle_beta 90.00
_cell_angle_gamma 90.00
_space_group_name_H-M_alt 'P -4 m 2'
_space_group_IT_number 115
_space_group_name_Hall 'P -4 -2'
loop_
_atom_site_label
_atom_site_fract_x
_atom_site_fract_y
_atom_site_fract_z
_atom_site_occupancy
Tb1 0.0000 0.5000 0.2409 1
Ga1 0.0000 0.0000 0.5000 1
Ga2 0.0000 0.5000 0.8682 1
Ga3 0.5000 0.5000 0.5000 1
Ir1 0.5000 0.5000 0.0000 1
Au1 0.0000 0.0000 0.0000 1
Au2 0.0000 0.5000 0.6446 1
```

9.
Theoretical powder XRD pattern of CaSmZnRu for Cu Kα (λ = 1.5418 Å), from the PBE geometry in Alexandria.
Intensities are scaled so that the largest is 100.

Principal peaks in the range 15° ≤ 2θ ≤ 90°, low angle first:
| 2θ/deg | Rel. int. |
| --- | --- |
| 15.64 | 57.2 |
| 31.95 | 100.0 |
| 32.12 | 38.0 |
| 38.79 | 32.5 |
| 39.25 | 74.3 |
| 43.86 | 23.5 |

Structural model:
```
data_CaSmZnRu
_chemical_formula_sum 'Ca2 Sm2 Zn2 Ru2'
_cell_length_a 4.0481
_cell_length_b 4.1282
_cell_length_c 11.3340
_cell_angle_alpha 90.00
_cell_angle_beta 90.00
_cell_angle_gamma 90.00
_space_group_name_H-M_alt 'A m m 2'
_space_group_IT_number 38
_space_group_name_Hall 'A 2 -2'
loop_
_atom_site_label
_atom_site_fract_x
_atom_site_fract_y
_atom_site_fract_z
_atom_site_occupancy
Ca1 0.0000 0.0000 0.0000 1
Sm1 0.5000 0.0000 0.7158 1
Zn1 0.5000 0.0000 0.4196 1
Ru1 0.0000 0.0000 0.2811 1
```